Starting from a cell relaxed with GGA-PBE, the PXRD pattern of PrTmCuAu was computed for Cu Ka.
No peak broadening, texture or thermal motion is included.

Cell and atoms:
a b c (Å): 4.5421 3.8076 11.0982
angles (deg): 90.00 90.00 90.00
Space group Amm2 (No. 38)
Unique sites:
Pr  0.0000  0.0000  0.0000
Tm  0.5000  0.0000  0.7214
Cu  0.5000  0.0000  0.4341
Au  0.0000  0.0000  0.2780

Principal peaks in the range 2θ = 5–70°, low angle first:
2θ (°), d_spacing, Rel. int.
16.0, 5.549, 22
31.7, 2.822, 100
32.3, 2.775, 28
33.8, 2.653, 27
38.0, 2.368, 25
39.3, 2.291, 66
39.7, 2.271, 30
47.8, 1.904, 18

---

Starting from a cell relaxed with GGA-PBE, the PXRD pattern of PrZnCuAu was computed for Cu Ka.
No peak broadening, texture or thermal motion is included.

Cell and atoms:
a b c (Å): 7.7267 4.4606 5.4797
angles (deg): 90.00 118.17 90.00
Space group Cm (No. 8)
Unique sites:
Pr  0.0000  0.0000  0.0000
Zn  0.0214  0.5000  0.5645
Cu  0.2063  0.0000  0.6199
Au  0.2898  0.5000  0.3690

Principal peaks in the range 2θ = 5–70°, low angle first:
2θ (°), d_spacing, Rel. int.
18.4, 4.831, 17
23.8, 3.733, 63
33.9, 2.643, 96
38.8, 2.318, 61
40.4, 2.230, 100
53.8, 1.704, 26
56.1, 1.640, 15
69.4, 1.355, 16

---

Starting from a cell relaxed with GGA-PBE, the PXRD pattern of PrZn2CuAu4 was computed for Cu Ka.
No peak broadening, texture or thermal motion is included.

Cell and atoms:
a b c (Å): 4.4471 4.4471 26.7762
angles (deg): 90.00 90.00 120.00
Space group R-3m (No. 166, hexagonal axes)
Unique sites:
Pr  0.0000  0.0000  0.0000
Zn  0.0000  0.0000  0.2382
Cu  0.0000  0.0000  0.5000
Au  0.0000  0.0000  0.1329
Au  0.0000  0.0000  0.4002

Principal peaks in the range 2θ = 5–70°, low angle first:
2θ (°), d_spacing, Rel. int.
26.7, 3.338, 29
28.5, 3.127, 19
33.0, 2.714, 31
35.5, 2.526, 73
40.6, 2.224, 100
44.0, 2.058, 33
55.0, 1.669, 21
67.3, 1.392, 20

---

Starting from a cell relaxed with GGA-PBE, the PXRD pattern of CuPtAu was computed for Cu Ka.
No peak broadening, texture or thermal motion is included.

Cell and atoms:
a b c (Å): 5.0059 5.0059 13.7773
angles (deg): 90.00 90.00 120.00
Space group P6_222 (No. 180)
Unique sites:
Cu  0.0000  0.5000  0.3347
Pt  0.3234  0.6617  0.1667
Au  0.0000  0.0000  0.1667
Au  0.0000  0.5000  0.6667

Principal peaks in the range 2θ = 5–70°, low angle first:
2θ (°), d_spacing, Rel. int.
19.3, 4.592, 14
35.9, 2.503, 33
39.2, 2.296, 33
41.1, 2.198, 100
41.7, 2.168, 12
46.3, 1.960, 16
54.2, 1.692, 21
68.0, 1.378, 23

---

Starting from a cell relaxed with GGA-PBE, the PXRD pattern of Cu3PtAu3 was computed for Cu Ka.
No peak broadening, texture or thermal motion is included.

Cell and atoms:
a b c (Å): 7.2914 8.1375 7.6965
angles (deg): 90.00 90.00 90.00
Space group Cmmm (No. 65)
Unique sites:
Cu  0.0000  0.2303  0.0000
Cu  0.0000  0.2497  0.5000
Cu  0.2217  0.5000  0.5000
Pt  0.1979  0.5000  0.0000
Au  0.0000  0.0000  0.2550
Au  0.2500  0.2500  0.2580

Principal peaks in the range 2θ = 5–70°, low angle first:
2θ (°), d_spacing, Rel. int.
28.4, 3.140, 20
32.0, 2.796, 11
38.7, 2.329, 10
40.7, 2.219, 100
44.5, 2.034, 21
47.2, 1.924, 18
50.0, 1.823, 11
66.9, 1.398, 12

---

Starting from a cell relaxed with GGA-PBE, the PXRD pattern of Cu7Pt4Au was computed for Cu Ka.
No peak broadening, texture or thermal motion is included.

Cell and atoms:
a b c (Å): 2.7483 2.7483 25.6526
angles (deg): 90.00 90.00 120.00
Space group P-3m1 (No. 164)
Unique sites:
Cu  0.0000  0.0000  0.0000
Cu  0.0000  0.0000  0.2446
Cu  0.3333  0.6667  0.1681
Cu  0.3333  0.6667  0.4125
Pt  0.3333  0.6667  0.6711
Pt  0.3333  0.6667  0.9161
Au  0.0000  0.0000  0.5000

Principal peaks in the range 2θ = 5–70°, low angle first:
2θ (°), d_spacing, Rel. int.
17.3, 5.131, 29
24.3, 3.665, 12
38.0, 2.370, 13
39.3, 2.293, 11
40.4, 2.231, 100
42.3, 2.138, 28
47.6, 1.911, 61
68.3, 1.374, 21

---

What is the formula in the third record? PrZn2CuAu4